(1)
Theoretical X-ray powder pattern of Rb2Np3Te6 for copper Kα, from a cell relaxed with PBE.
Peak positions follow from Bragg's law for the DFT cell and can differ from measured ones.

Crystal structure
Cell lengths 7.7609, 7.7609, 9.1136 Å; angles 98.17, 98.17, 120.00 degrees
Fractional positions:
Rb1 0.1666 0.8334 0.0000
Rb2 0.8334 0.1666 0.0000
Np1 0.0000 0.0000 0.5000
Np2 0.3330 0.6670 0.5000
Np3 0.6670 0.3330 0.5000
Te1 0.0672 0.3990 0.6970
Te2 0.2693 0.2693 0.3035
Te3 0.3990 0.0672 0.6970
Te4 0.6010 0.9328 0.3030
Te5 0.7307 0.7307 0.6965
Te6 0.9328 0.6010 0.3030

Largest 8 diffraction maxima, sorted by position, 2θ from 5° to 70°:
d_spacing  two_theta  I_rel
8.738  10.1  72
3.339  26.7  100
2.695  33.2  26
2.504  35.9  35
2.240  40.3  37
2.171  41.6  19
1.860  49.0  19
1.431  65.2  16

---

(2)
Theoretical X-ray powder pattern of PmSm2Dy9 for copper Kα, from a cell relaxed with PBE.
Peak positions follow from Bragg's law for the DFT cell and can differ from measured ones.

Crystal structure
Cell lengths 5.0402, 5.0402, 15.1235 Å; angles 90.00, 90.00, 90.00 degrees
Fractional positions:
Pm1 0.0000 0.0000 0.0000
Sm1 0.0000 0.0000 0.3334
Sm2 0.0000 0.0000 0.6666
Dy1 0.0000 0.5000 0.1670
Dy2 0.0000 0.5000 0.5000
Dy3 0.0000 0.5000 0.8330
Dy4 0.5000 0.0000 0.1670
Dy5 0.5000 0.0000 0.5000
Dy6 0.5000 0.0000 0.8330
Dy7 0.5000 0.5000 0.0000
Dy8 0.5000 0.5000 0.3336
Dy9 0.5000 0.5000 0.6664

Largest 5 diffraction maxima, sorted by position, 2θ from 5° to 70°:
d_spacing  two_theta  I_rel
2.910  30.7  100
2.520  35.6  51
1.782  51.3  36
1.520  61.0  43
1.455  64.0  12

---

(3)
Theoretical X-ray powder pattern of Tm6Bi3SbSe2 for copper Kα, from a cell relaxed with PBE.
Peak positions follow from Bragg's law for the DFT cell and can differ from measured ones.

Crystal structure
Cell lengths 7.4188, 7.4188, 7.4204 Å; angles 99.58, 99.58, 120.01 degrees
Fractional positions:
Tm1 0.0809 0.4208 0.7616
Tm2 0.2363 0.2363 0.2321
Tm3 0.4208 0.0809 0.7616
Tm4 0.5792 0.9191 0.2384
Tm5 0.7637 0.7637 0.7679
Tm6 0.9191 0.5792 0.2384
Bi1 0.0000 0.0000 0.5000
Bi2 0.3369 0.6631 0.5000
Bi3 0.6631 0.3369 0.5000
Sb1 0.5000 0.5000 0.0000
Se1 0.1673 0.8327 0.0000
Se2 0.8327 0.1673 0.0000

Largest 8 diffraction maxima, sorted by position, 2θ from 5° to 70°:
d_spacing  two_theta  I_rel
6.997  12.7  4
3.653  24.4  6
3.029  29.5  100
2.780  32.2  5
2.142  42.2  76
1.749  52.3  27
1.514  61.2  12
1.355  69.4  34